Starting from a cell relaxed with GGA-PBE, the powder diffractogram of YCo2S4 was calculated for Cu Kα (weighted mean of Kα1 and Kα2).
Intensities are scaled so that the largest is 100.

a b c (Å): 7.2139 7.2139 7.2139
angles (deg): 121.22 121.22 87.90
Positions (direct):
Y (0.3750, 0.6250, 0.7500)
Y (0.6250, 0.3750, 0.2500)
Co (0.0000, 0.0000, 0.0000)
Co (0.0000, 0.0000, 0.5000)
Co (0.0000, 0.5000, 0.0000)
Co (0.5000, 0.0000, 0.5000)
S (0.1839, 0.2245, 0.9594)
S (0.2245, 0.1839, 0.4594)
S (0.2245, 0.7651, 0.0406)
S (0.2349, 0.7755, 0.4594)
S (0.7651, 0.2245, 0.5406)
S (0.7755, 0.2349, 0.9594)
S (0.7755, 0.8161, 0.5406)
S (0.8161, 0.7755, 0.0406)

Principal peaks in the range 2θ from 5° to 70°, in order of rising 2θ:
d = 3.605 Å, I = 58; d = 3.540 Å, I = 26; d = 3.110 Å, I = 46; d = 3.029 Å, I = 100; d = 2.503 Å, I = 23; d = 2.056 Å, I = 15; d = 1.993 Å, I = 34; d = 1.930 Å, I = 59; d = 1.802 Å, I = 68; d = 1.770 Å, I = 34



Starting from a cell relaxed with GGA-PBE, the powder diffractogram of YCo2S4 was calculated for Cu Kα (weighted mean of Kα1 and Kα2).
Intensities are scaled so that the largest is 100.

a b c (Å): 7.0654 7.0654 7.0654
angles (deg): 121.67 115.09 92.92
Positions (direct):
Y (0.0000, 0.0000, 0.0000)
Y (0.5000, 0.0000, 0.5000)
Co (0.0000, 0.5000, 0.5000)
Co (0.5000, 0.0000, 0.0000)
Co (0.5000, 0.5000, 0.0000)
Co (0.5000, 0.5000, 0.5000)
S (0.2598, 0.2890, 0.5292)
S (0.2598, 0.7307, 0.9708)
S (0.2751, 0.7275, 0.5477)
S (0.3202, 0.2725, 0.0477)
S (0.6798, 0.7275, 0.9523)
S (0.7249, 0.2725, 0.4523)
S (0.7402, 0.2693, 0.0292)
S (0.7402, 0.7110, 0.4708)

Principal peaks in the range 2θ from 5° to 70°, in order of rising 2θ:
d = 5.982 Å, I = 61; d = 4.867 Å, I = 21; d = 2.987 Å, I = 26; d = 2.549 Å, I = 100; d = 2.434 Å, I = 44; d = 2.258 Å, I = 14; d = 1.896 Å, I = 17; d = 1.760 Å, I = 57; d = 1.722 Å, I = 14; d = 1.496 Å, I = 14